[1]
Theoretical powder diffraction line list of Li2MnFeB2O6 for Cu Kα (λ = 1.5418 Å), from a crystal structure in Alexandria, relaxed with GGA+U.
Neutral-atom scattering factors, no anomalous dispersion.

Largest 10 diffraction maxima, by intensity, 2θ from 10° to 90°:
2θ (°)  Rel. int.  h k l
21.6  100  2 0 -1
35.8  81  2 2 -1
37.8  31  3 0 -3
47.9  27  3 2 0
33.2  19  1 0 2
31.0  16  1 2 0
53.0  15  2 2 2
54.7  14  3 2 1
44.2  12  1 2 2
58.5  11  0 4 0

Cell and atoms:
```
36
Lattice="8.2389 0.0000 0.0000 0.0000 6.3093 0.0000 -4.1024 0.0000 7.1493" Properties=species:S:1:pos:R:3 pbc="T T T"
Li 0.0000 1.5583 0.0000
Li 0.0000 4.7510 0.0000
Li -0.2175 1.5678 4.1427
Li -0.2175 4.7415 4.1427
Li 3.4682 1.5594 2.2639
Li 3.4682 4.7498 2.2639
Mn 2.5222 3.1546 4.7912
Mn 6.2976 3.1546 2.0523
Mn 6.3004 0.0000 2.0523
Fe -1.4925 3.1546 6.7102
Fe -1.4098 0.0000 6.6706
Fe 2.5261 0.0000 4.8563
B 1.0996 3.1546 2.1339
B 1.1053 0.0000 2.1436
B 1.0715 1.5662 6.8936
B 1.0715 4.7430 6.8936
B 5.2001 1.5710 4.5277
B 5.2001 4.7383 4.5277
O -1.8742 1.5751 5.2905
O -1.8742 4.7342 5.2905
O 0.9659 3.1546 0.7416
O 0.9851 0.0000 0.7541
O -0.0483 0.0000 2.9368
O -0.0360 3.1546 2.9378
O 2.3658 3.1546 2.7036
O 2.3544 0.0000 2.7491
O 3.9099 1.5581 0.3316
O 3.9099 4.7512 0.3316
O 1.1918 1.5517 5.5049
O 1.1918 4.7575 5.5049
O 6.3179 1.5782 0.5362
O 6.3179 4.7310 0.5362
O 3.9649 1.5493 5.1579
O 3.9649 4.7599 5.1579
O 5.2753 1.5795 3.1442
O 5.2753 4.7298 3.1442
```

***

[2]
Theoretical powder diffraction line list of Li2MnFeB2O6 for Cu Kα (λ = 1.5418 Å), from a crystal structure in Alexandria, relaxed with GGA+U.
Neutral-atom scattering factors, no anomalous dispersion.

Largest 10 diffraction maxima, by intensity, 2θ from 10° to 90°:
2θ (°)  Rel. int.  h k l
21.6  100  2 0 0
35.7  81  1 1 -3
37.9  43  0 0 6
47.8  27  3 1 -3
44.1  26  4 0 0
53.0  23  2 1 -6
54.7  22  3 1 5
33.3  20  1 0 5
30.8  16  1 1 -1
64.1  12  2 1 8

Cell and atoms:
```
36
Lattice="8.2289 0.0000 0.0000 0.0000 3.1776 0.0000 -0.0145 0.0000 14.2377" Properties=species:S:1:pos:R:3 pbc="T T T"
Li 0.0000 0.0000 0.0000
Li 0.1850 0.0000 10.1055
Li 0.6623 0.0000 4.9167
Li 4.1239 0.0000 7.1268
Li 4.3587 0.0000 3.0463
Li 4.7672 0.0000 11.9592
Mn 1.6032 1.5888 2.3534
Mn 1.9333 1.5888 12.2008
Mn 5.5718 1.5888 0.4498
Fe 1.4827 1.5888 7.5946
Fe 5.6741 1.5888 9.4127
Fe 6.1203 1.5888 5.1111
B 3.0272 0.0000 9.7466
B 3.0428 0.0000 0.2624
B 3.0453 1.5888 5.0314
B 7.1446 0.0000 2.6448
B 7.1430 0.0000 7.3825
B 7.1384 1.5888 12.0884
O 0.0517 1.5888 11.2924
O 0.1535 0.0000 2.0172
O 0.1868 0.0000 6.8310
O 1.7828 1.5888 4.4388
O 1.8645 0.0000 8.9856
O 1.8815 0.0000 13.7139
O 2.9335 0.0000 1.6515
O 2.9517 0.0000 11.1299
O 3.1380 1.5888 6.4247
O 4.1962 1.5888 4.2540
O 4.2705 0.0000 9.1222
O 4.2826 0.0000 13.8984
O 5.8767 1.5888 11.5054
O 5.9869 0.0000 1.8851
O 6.0144 0.0000 6.5521
O 6.9732 0.0000 8.7665
O 7.0702 0.0000 4.0355
O 7.2713 1.5888 13.4817
```